Structure and calculated XRD peak list of Li2Ti3SnO8 (a cell relaxed with PBE; Cu Kα).
Lines closer than 0.1° are merged.

Atomic structure:
```
Li2Ti3SnO8
1.0
2.995 1.729 6.065
-2.995 1.729 6.065
0.000 -3.459 6.065
Li Ti Sn O
2 3 1 8
direct
0.000 0.000 0.000
0.458 0.458 0.458
0.039 0.039 0.526
0.039 0.526 0.039
0.526 0.039 0.039
0.659 0.659 0.659
0.240 0.780 0.780
0.262 0.262 0.262
0.303 0.303 0.839
0.303 0.839 0.303
0.780 0.240 0.780
0.780 0.780 0.240
0.818 0.818 0.818
0.839 0.303 0.303
```

Main lines, low angle first (2θ from 10° to 90°):
Position (°2θ)  intensity
14.60  100
17.78  48
19.70  91
26.05  92
29.99  51
33.36  77
34.94  69
42.42  30
49.65  51
53.05  28
53.59  32
61.96  34

Structure and calculated XRD peak list of Tb3BeCl3 (a cell relaxed with PBE; Cu Kα).
Lines closer than 0.1° are merged.

Atomic structure:
```
Tb3BeCl3
1.0
-5.572 5.572 5.572
5.572 -5.572 5.572
5.572 5.572 -5.572
Tb Be Cl
12 4 12
direct
0.008 0.016 0.258
0.008 0.492 0.750
0.016 0.258 0.008
0.242 0.258 0.750
0.242 0.484 0.492
0.258 0.008 0.016
0.258 0.750 0.242
0.484 0.492 0.242
0.492 0.242 0.484
0.492 0.750 0.008
0.750 0.008 0.492
0.750 0.242 0.258
0.000 0.250 0.500
0.250 0.250 0.250
0.250 0.500 0.000
0.500 0.000 0.250
0.250 0.756 0.744
0.250 0.994 0.506
0.506 0.250 0.994
0.506 0.756 0.513
0.513 0.506 0.756
0.744 0.250 0.756
0.744 0.994 0.987
0.756 0.513 0.506
0.756 0.744 0.250
0.987 0.744 0.994
0.994 0.506 0.250
0.994 0.987 0.744
```

Main lines, low angle first (2θ from 10° to 90°):
Position (°2θ)  intensity
11.23  40
19.51  22
27.73  71
30.00  36
32.13  100
37.87  16
46.07  70
54.63  33
57.27  23
74.18  13
76.44  28
85.34  21

Structure and calculated XRD peak list of Na2Ca2SeO6 (a cell relaxed with PBE; Cu Kα).
Lines closer than 0.1° are merged.

Atomic structure:
```
Na2Ca2SeO6
1.0
2.889 -4.885 0.000
2.889 4.885 0.000
-1.401 0.000 5.676
Na Ca Se O
2 2 1 6
direct
0.143 0.857 0.000
0.857 0.143 0.000
0.337 0.663 0.500
0.663 0.337 0.500
0.000 0.000 0.500
0.042 0.316 0.684
0.214 0.214 0.309
0.316 0.042 0.684
0.684 0.958 0.316
0.786 0.786 0.691
0.958 0.684 0.316
```

Main lines, low angle first (2θ from 10° to 90°):
Position (°2θ)  intensity
15.61  100
18.23  55
24.03  10
31.52  14
31.77  14
31.91  13
33.78  17
37.31  65
39.38  30
48.18  13
55.12  16
55.61  16